Computed powder X-ray diffraction pattern
Compound: SmTiCo11
Radiation: Cu Kα (λ = 1.5418 Å)
Structure: a DFT-relaxed cell (PBE, Alexandria)
No peak broadening, texture or thermal motion is included.

Most intense lines, 10° ≤ 2θ ≤ 90°, most intense first:
- 2θ 43.51, I 100
- 2θ 44.28, I 72
- 2θ 37.52, I 43
- 2θ 30.56, I 37
- 2θ 43.32, I 33
- 2θ 43.18, I 29
- 2θ 49.61, I 28
- 2θ 72.96, I 20
- 2θ 38.39, I 16
- 2θ 48.66, I 13
- 2θ 63.63, I 12
- 2θ 33.88, I 12

Crystal structure
abc: 6.3644 6.3644 6.3644
angles: 136.76 97.66 97.95
Fractional positions:
Sm 0.0000 0.0000 0.0000
Ti 0.3767 0.3767 0.0000
Co 0.0015 0.0021 0.4953
Co 0.0015 0.5062 0.9994
Co 0.2280 0.5071 0.7209
Co 0.2302 0.7302 0.5000
Co 0.3664 0.0076 0.3588
Co 0.5068 0.0021 0.0006
Co 0.5068 0.5062 0.5047
Co 0.6488 0.0076 0.6412
Co 0.6521 0.6521 0.0000
Co 0.7756 0.2756 0.5000
Co 0.7863 0.5071 0.2791

Computed powder X-ray diffraction pattern
Compound: USiGe2
Radiation: Cu Kα (λ = 1.5418 Å)
Structure: a DFT-relaxed cell (PBE, Alexandria)
No peak broadening, texture or thermal motion is included.

Most intense lines, 10° ≤ 2θ ≤ 90°, most intense first:
- 2θ 37.60, I 100
- 2θ 21.53, I 47
- 2θ 30.46, I 41
- 2θ 43.87, I 32
- 2θ 76.47, I 26
- 2θ 63.38, I 22
- 2θ 54.35, I 17
- 2θ 43.35, I 17
- 2θ 75.72, I 13
- 2θ 48.89, I 12
- 2θ 80.27, I 12
- 2θ 49.38, I 11

Crystal structure
abc: 4.1271 4.1271 4.1750
angles: 90.00 90.00 90.00
Fractional positions:
U 0.0000 0.0000 0.0000
Si 0.5000 0.5000 0.0000
Ge 0.0000 0.5000 0.5000
Ge 0.5000 0.0000 0.5000

Computed powder X-ray diffraction pattern
Compound: LaHo3Hg4
Radiation: Cu Kα (λ = 1.5418 Å)
Structure: a DFT-relaxed cell (PBE, Alexandria)
No peak broadening, texture or thermal motion is included.

Most intense lines, 10° ≤ 2θ ≤ 90°, most intense first:
- 2θ 33.56, I 100
- 2θ 34.01, I 49
- 2θ 60.58, I 37
- 2θ 59.71, I 18
- 2θ 48.86, I 18
- 2θ 70.53, I 11
- 2θ 47.52, I 9
- 2θ 81.41, I 9
- 2θ 81.67, I 8
- 2θ 79.39, I 7
- 2θ 71.59, I 6
- 2θ 42.95, I 2

Crystal structure
abc: 5.2725 5.2725 7.6543
angles: 90.00 90.00 90.00
Fractional positions:
La 0.0000 0.0000 0.0000
Ho 0.0000 0.0000 0.5000
Ho 0.5000 0.5000 0.0000
Ho 0.5000 0.5000 0.5000
Hg 0.0000 0.5000 0.2656
Hg 0.0000 0.5000 0.7344
Hg 0.5000 0.0000 0.2656
Hg 0.5000 0.0000 0.7344